BaSi9Rh2: computed powder X-ray diffraction pattern (Cu Kα, 1.54184 Å), based on DFT lattice parameters and positions (PBE).

Largest 12 diffraction maxima, sorted by position, 2θ from 15° to 90°:
23.60 deg, d = 3.770 Å, rel. 82.0
28.49 deg, d = 3.133 Å, rel. 100.0
28.92 deg, d = 3.087 Å, rel. 55.4
33.12 deg, d = 2.705 Å, rel. 20.8
33.31 deg, d = 2.690 Å, rel. 39.0
34.26 deg, d = 2.617 Å, rel. 26.8
35.55 deg, d = 2.526 Å, rel. 23.0
36.11 deg, d = 2.488 Å, rel. 26.7
44.42 deg, d = 2.039 Å, rel. 22.0
47.61 deg, d = 1.910 Å, rel. 25.3
50.72 deg, d = 1.800 Å, rel. 34.2
51.04 deg, d = 1.789 Å, rel. 25.4

Structure:
a b c (Å): 11.204 11.204 6.276
angles (deg): 90.08 90.08 147.57
Sites, in units of the cell vectors:
Ba  0.186  0.814  0.750
Ba  0.814  0.186  0.250
Si  0.068  0.387  0.753
Si  0.084  0.172  0.111
Si  0.172  0.084  0.611
Si  0.250  0.750  0.250
Si  0.327  0.417  0.611
Si  0.339  0.660  0.475
Si  0.340  0.661  0.025
Si  0.387  0.068  0.253
Si  0.417  0.327  0.111
Si  0.583  0.673  0.889
Si  0.613  0.932  0.747
Si  0.660  0.339  0.975
Si  0.661  0.340  0.525
Si  0.673  0.583  0.389
Si  0.750  0.250  0.750
Si  0.828  0.916  0.389
Si  0.916  0.828  0.889
Si  0.932  0.613  0.247
Rh  0.068  0.932  0.250
Rh  0.431  0.569  0.250
Rh  0.569  0.431  0.750
Rh  0.932  0.068  0.750